Starting from a structure optimized by DFT (PBE), the powder XRD pattern of Li2MgZn2Pd2Pt was calculated for Cu Kα (weighted mean of Kα1 and Kα2).
Peak positions follow from Bragg's law for the DFT cell and can differ from measured ones.

The 8 most intense peaks (10° ≤ 2θ ≤ 80°), in order of falling intensity:
h k l	2θ (°)	d [Å]	I_rel
1 1 2	40.82	2.211	100
1 0 1	24.98	3.565	52
2 0 0	42.43	2.130	45
3 1 2	76.53	1.245	32
0 0 1	13.61	6.507	25
1 0 0	20.85	4.261	22
2 0 4	73.21	1.293	17
1 1 1	32.76	2.734	17

Structural model:
```
data_Li2MgZn2Pd2Pt
_chemical_formula_sum 'Li2 Mg1 Zn2 Pd2 Pt1'
_cell_length_a 4.261
_cell_length_b 4.261
_cell_length_c 6.507
_cell_angle_alpha 90.00
_cell_angle_beta 90.00
_cell_angle_gamma 90.00
_symmetry_space_group_name_H-M 'P -4 m 2'
_symmetry_Int_Tables_number 115
loop_
_symmetry_equiv_pos_as_xyz
'x,y,z'
'y,-x,-z'
'-x,-y,z'
'-y,x,-z'
'-x,y,z'
'-y,-x,-z'
'x,-y,z'
'y,x,-z'
loop_
_atom_site_label
_atom_site_type_symbol
_atom_site_fract_x
_atom_site_fract_y
_atom_site_fract_z
Li1 Li 0.000 0.500 0.234
Mg1 Mg 0.000 0.000 0.500
Zn1 Zn 0.000 0.000 0.000
Zn2 Zn 0.500 0.500 0.500
Pd1 Pd 0.000 0.500 0.741
Pt1 Pt 0.500 0.500 0.000
```

Starting from a structure optimized by DFT (PBE), the powder XRD pattern of Li4MgSnPd2 was calculated for Cu Kα (weighted mean of Kα1 and Kα2).
Peak positions follow from Bragg's law for the DFT cell and can differ from measured ones.

The 8 most intense peaks (10° ≤ 2θ ≤ 80°), in order of falling intensity:
h k l	2θ (°)	d [Å]	I_rel
1 0 1	24.38	3.651	100
1 1 2	40.56	2.224	62
2 1 1	47.32	1.921	33
2 0 0	39.90	2.259	33
3 1 2	72.90	1.298	22
1 0 3	48.46	1.878	15
0 0 1	14.30	6.196	13
2 1 3	64.52	1.444	13

Structural model:
```
data_Li4MgSnPd2
_chemical_formula_sum 'Li4 Mg1 Sn1 Pd2'
_cell_length_a 4.519
_cell_length_b 4.519
_cell_length_c 6.196
_cell_angle_alpha 90.00
_cell_angle_beta 90.00
_cell_angle_gamma 90.00
_symmetry_space_group_name_H-M 'P -4 m 2'
_symmetry_Int_Tables_number 115
loop_
_symmetry_equiv_pos_as_xyz
'x,y,z'
'y,-x,-z'
'-x,-y,z'
'-y,x,-z'
'-x,y,z'
'-y,-x,-z'
'x,-y,z'
'y,x,-z'
loop_
_atom_site_label
_atom_site_type_symbol
_atom_site_fract_x
_atom_site_fract_y
_atom_site_fract_z
Li1 Li 0.000 0.000 0.000
Li2 Li 0.000 0.500 0.248
Li3 Li 0.500 0.500 0.500
Mg1 Mg 0.500 0.500 0.000
Sn1 Sn 0.000 0.000 0.500
Pd1 Pd 0.000 0.500 0.747
```

Starting from a structure optimized by DFT (PBE), the powder XRD pattern of Li4MgSnPt2 was calculated for Cu Kα (weighted mean of Kα1 and Kα2).
Peak positions follow from Bragg's law for the DFT cell and can differ from measured ones.

The 8 most intense peaks (10° ≤ 2θ ≤ 80°), in order of falling intensity:
h k l	2θ (°)	d [Å]	I_rel
1 0 1	24.51	3.632	100
1 1 2	40.74	2.215	51
2 1 1	47.64	1.909	34
2 0 0	40.19	2.244	27
3 1 2	73.41	1.290	19
1 0 3	48.59	1.874	16
2 1 3	64.83	1.438	14
1 1 0	28.12	3.173	12

Structural model:
```
data_Li4MgSnPt2
_chemical_formula_sum 'Li4 Mg1 Sn1 Pt2'
_cell_length_a 4.487
_cell_length_b 4.487
_cell_length_c 6.186
_cell_angle_alpha 90.00
_cell_angle_beta 90.00
_cell_angle_gamma 90.00
_symmetry_space_group_name_H-M 'P -4 m 2'
_symmetry_Int_Tables_number 115
loop_
_symmetry_equiv_pos_as_xyz
'x,y,z'
'y,-x,-z'
'-x,-y,z'
'-y,x,-z'
'-x,y,z'
'-y,-x,-z'
'x,-y,z'
'y,x,-z'
loop_
_atom_site_label
_atom_site_type_symbol
_atom_site_fract_x
_atom_site_fract_y
_atom_site_fract_z
Li1 Li 0.000 0.000 0.000
Li2 Li 0.000 0.500 0.742
Li3 Li 0.500 0.500 0.500
Mg1 Mg 0.000 0.000 0.500
Sn1 Sn 0.500 0.500 0.000
Pt1 Pt 0.000 0.500 0.247
```

Starting from a structure optimized by DFT (PBE), the powder XRD pattern of Li4MgSn2Pt was calculated for Cu Kα (weighted mean of Kα1 and Kα2).
Peak positions follow from Bragg's law for the DFT cell and can differ from measured ones.

The 8 most intense peaks (10° ≤ 2θ ≤ 80°), in order of falling intensity:
h k l	2θ (°)	d [Å]	I_rel
1 0 1	23.58	3.772	100
1 1 2	38.76	2.323	65
0 0 1	13.25	6.684	36
2 1 1	46.47	1.954	34
2 0 0	39.44	2.285	32
3 1 2	71.07	1.326	23
1 0 0	19.43	4.570	22
1 0 3	45.28	2.003	17

Structural model:
```
data_Li4MgSn2Pt
_chemical_formula_sum 'Li4 Mg1 Sn2 Pt1'
_cell_length_a 4.570
_cell_length_b 4.570
_cell_length_c 6.684
_cell_angle_alpha 90.00
_cell_angle_beta 90.00
_cell_angle_gamma 90.00
_symmetry_space_group_name_H-M 'P -4 m 2'
_symmetry_Int_Tables_number 115
loop_
_symmetry_equiv_pos_as_xyz
'x,y,z'
'y,-x,-z'
'-x,-y,z'
'-y,x,-z'
'-x,y,z'
'-y,-x,-z'
'x,-y,z'
'y,x,-z'
loop_
_atom_site_label
_atom_site_type_symbol
_atom_site_fract_x
_atom_site_fract_y
_atom_site_fract_z
Li1 Li 0.000 0.000 0.000
Li2 Li 0.000 0.500 0.216
Li3 Li 0.500 0.500 0.500
Mg1 Mg 0.000 0.000 0.500
Sn1 Sn 0.000 0.500 0.768
Pt1 Pt 0.500 0.500 0.000
```